# Na2Bi3Pb3
Simulated powder X-ray diffraction pattern, copper Kα. Input: a crystal structure in Alexandria, relaxed with PBE.
No peak broadening, texture or thermal motion is included.

Atomic structure:
Unit cell a=9.1682 b=9.1682 c=3.4677 alpha=90.00 beta=90.00 gamma=120.00
Space group P-62m (No. 189)
Inequivalent atoms, fractional coordinates:
Na  0.3333  0.6667  0.0000 x2
Bi  0.0000  0.6254  0.5000 x3
Pb  0.0000  0.2179  0.0000 x3

Largest 10 diffraction maxima, low angle first, 10 to 80 degrees two-theta:
(1 0 0), 2θ = 11.14°, d = 7.940 Å, intensity 24
(1 1 0), 2θ = 19.36°, d = 4.584 Å, intensity 36
(1 0 1), 2θ = 28.08°, d = 3.178 Å, intensity 24
(2 1 0), 2θ = 29.77°, d = 3.001 Å, intensity 87
(1 1 1), 2θ = 32.37°, d = 2.766 Å, intensity 100
(2 2 0), 2θ = 39.31°, d = 2.292 Å, intensity 28
(2 1 1), 2θ = 39.72°, d = 2.269 Å, intensity 23
(3 1 1), 2θ = 49.00°, d = 1.859 Å, intensity 25
(4 1 1), 2θ = 59.66°, d = 1.550 Å, intensity 21
(2 1 2), 2θ = 61.80°, d = 1.501 Å, intensity 26